Record 1
Calculated X-ray diffraction stick pattern
Compound: WN
Radiation: Cu Kα X-rays
Structure: a crystal structure in the Materials Project, relaxed with GGA-PBE
Intensities are scaled so that the largest is 1000.

Most intense lines, 10 to 80 degrees two-theta, by angle:
| 2θ/deg | d [Å] | I (rel.) |
| --- | --- | --- |
| 35.61 | 2.521 | 1000 |
| 41.35 | 2.183 | 666 |
| 59.92 | 1.544 | 442 |
| 71.68 | 1.317 | 420 |
| 75.41 | 1.261 | 149 |

Structure:
Cell: 3.088 3.088 3.088 Å, 60.00 60.00 60.00°
Atoms (fractional coordinates):
1 W 0.000 0.000 0.000
2 N 0.500 0.500 0.500

Record 2
Calculated X-ray diffraction stick pattern
Compound: ZrCrAgS4
Radiation: Cu Kα X-rays
Structure: a crystal structure in the Materials Project, relaxed with GGA-PBE
Intensities are scaled so that the largest is 1000.

Most intense lines, 10 to 80 degrees two-theta, by angle:
| 2θ/deg | d [Å] | I (rel.) |
| --- | --- | --- |
| 15.93 | 5.564 | 386 |
| 16.22 | 5.466 | 586 |
| 25.45 | 3.499 | 395 |
| 28.56 | 3.125 | 702 |
| 29.25 | 3.054 | 387 |
| 40.05 | 2.251 | 1000 |
| 40.54 | 2.225 | 623 |
| 41.29 | 2.186 | 437 |
| 50.15 | 1.819 | 313 |
| 51.44 | 1.776 | 501 |

Structure:
Cell: 7.272 7.272 6.109 Å, 113.56 113.56 28.96°
Atoms (fractional coordinates):
1 Zr 0.000 0.000 0.000
2 Cr 0.509 0.509 0.544
3 Ag 0.251 0.251 0.255
4 S 0.120 0.120 0.788
5 S 0.384 0.384 0.732
6 S 0.611 0.611 0.308
7 S 0.904 0.904 0.286

Record 3
Calculated X-ray diffraction stick pattern
Compound: Ba2NdMgSbO6
Radiation: Cu Kα X-rays
Structure: a crystal structure in the Materials Project, relaxed with GGA-PBE
Intensities are scaled so that the largest is 1000.

Most intense lines, 10 to 80 degrees two-theta, by angle:
| 2θ/deg | d [Å] | I (rel.) |
| --- | --- | --- |
| 14.64 | 6.051 | 387 |
| 20.07 | 4.425 | 359 |
| 27.19 | 3.280 | 811 |
| 27.40 | 3.255 | 1000 |
| 27.69 | 3.222 | 959 |
| 28.52 | 3.130 | 539 |
| 29.42 | 3.036 | 678 |
| 29.70 | 3.008 | 350 |
| 31.47 | 2.843 | 526 |
| 40.00 | 2.254 | 310 |

Structure:
Cell: 6.362 6.483 6.641 Å, 67.25 71.88 61.12°
Atoms (fractional coordinates):
1 Ba 0.000 0.000 0.000
2 Ba 0.366 0.415 0.765
3 Nd 0.690 0.795 0.666
4 Mg 0.648 0.635 0.132
5 Sb 0.103 0.229 0.356
6 O 0.281 0.110 0.603
7 O 0.419 0.635 0.986
8 O 0.630 0.969 0.941
9 O 0.775 0.515 0.425
10 O 0.928 0.470 0.917
11 O 0.974 0.973 0.452